Diffraction record for Pr2SnRu. The X-ray diffraction stick pattern is theoretical, not measured: it uses a PBE-relaxed structure and a wavelength of 1.5418 Å.
Kinematic intensities with the Lorentz-polarization factor, no thermal factor.

Crystal structure
Cell lengths 11.235, 5.206, 8.684 Å; angles 90.00, 112.65, 90.00 degrees
Element x y z (fractional)
Pr  0.172  0.001  0.086
Pr  0.172  0.999  0.586
Pr  0.328  0.499  0.914
Pr  0.328  0.501  0.414
Pr  0.672  0.499  0.586
Pr  0.672  0.501  0.086
Pr  0.828  0.001  0.414
Pr  0.828  0.999  0.914
Sn  0.000  0.499  0.250
Sn  0.000  0.501  0.750
Sn  0.500  0.001  0.750
Sn  0.500  0.999  0.250
Ru  0.000  0.001  0.750
Ru  0.000  0.999  0.250
Ru  0.500  0.499  0.250
Ru  0.500  0.501  0.750

Main lines, in order of falling intensity (2θ = 10–90°):
- 33.1°, intensity 100, (2 0 2)
- 48.5°, intensity 69, (2 2 2)
- 26.7°, intensity 61, (1 1 -2)
- 34.5°, intensity 45, (0 2 0)
- 31.1°, intensity 41, (3 1 0)
- 41.6°, intensity 27, (2 0 -4)
- 55.1°, intensity 24, (2 2 -4)
- 19.1°, intensity 22, (1 1 0)